[1]
CuI: theoretical powder diffraction line list (CuKα), based on a cell relaxed with PBE.
Neutral-atom scattering factors, no anomalous dispersion.

Principal peaks in the range 2θ = 15–90°, sorted by position:
2θ/deg, I (rel.)
25.6, 100
33.7, 18
41.5, 65
44.0, 27
47.1, 18
51.6, 28
56.1, 6
64.0, 9
66.4, 13
73.9, 11
79.2, 18
86.6, 7

Crystal structure
Cell: 4.113 4.113 6.556 Å, 90.00 90.00 90.00°
Space group P4/nmm (No. 129, origin choice 2)
One atom of each set of equivalent atoms:
Cu1 0.250 0.750 0.000 x2
I1 0.250 0.250 0.259 x2

***

[2]
K2CuMoI6: theoretical powder diffraction line list (CuKα), based on a cell relaxed with PBE.
Neutral-atom scattering factors, no anomalous dispersion.

Principal peaks in the range 2θ = 15–90°, sorted by position:
2θ/deg, I (rel.)
15.5, 61
27.1, 87
31.4, 100
35.2, 33
45.0, 72
47.9, 17
53.3, 38
55.9, 25
72.2, 15
74.4, 31
83.0, 24
89.3, 12

Crystal structure
Cell: 11.403 11.403 11.403 Å, 90.00 90.00 90.00°
Space group Fm-3m (No. 225)
One atom of each set of equivalent atoms:
K1 0.250 0.250 0.250 x8
Cu1 0.000 0.000 0.000 x4
Mo1 0.000 0.000 0.500 x4
I1 0.000 0.000 0.252 x24

***

[3]
K2NdCuI6: theoretical powder diffraction line list (CuKα), based on a cell relaxed with PBE.
Neutral-atom scattering factors, no anomalous dispersion.

Principal peaks in the range 2θ = 15–90°, sorted by position:
2θ/deg, I (rel.)
25.9, 68
30.0, 100
33.6, 39
42.9, 72
45.6, 21
50.8, 29
53.2, 25
62.2, 11
64.4, 11
68.6, 11
70.6, 31
78.5, 22

Crystal structure
Cell: 11.932 11.932 11.932 Å, 90.00 90.00 90.00°
Space group Fm-3m (No. 225)
One atom of each set of equivalent atoms:
K1 0.250 0.250 0.250 x8
Nd1 0.000 0.000 0.000 x4
Cu1 0.000 0.000 0.500 x4
I1 0.000 0.000 0.260 x24

***

[4]
K4CuI2O20: theoretical powder diffraction line list (CuKα), based on a cell relaxed with PBE.
Neutral-atom scattering factors, no anomalous dispersion.

Principal peaks in the range 2θ = 15–90°, sorted by position:
2θ/deg, I (rel.)
16.4, 73
16.7, 100
21.9, 91
23.7, 27
23.9, 74
25.4, 89
28.9, 28
29.7, 25
30.0, 35
30.6, 28
31.1, 24
35.0, 25

Crystal structure
Cell: 8.931 10.635 12.775 Å, 90.00 123.67 90.00°
Space group P2_1/c (No. 14)
One atom of each set of equivalent atoms:
K1 0.067 0.058 0.209 x4
K2 0.412 0.689 0.198 x4
Cu1 0.000 0.000 0.500 x2
I1 0.082 0.240 0.976 x4
O1 0.045 0.608 0.127 x4
O2 0.117 0.658 0.557 x4
O3 0.121 0.196 0.855 x4
O4 0.133 0.133 0.600 x4
O5 0.259 0.146 0.105 x4
O6 0.410 0.673 0.963 x4
O7 0.436 0.061 0.852 x4
O8 0.459 0.549 0.533 x4
O9 0.481 0.133 0.569 x4
O10 0.482 0.520 0.878 x4

***

[5]
K4CuI2O20: theoretical powder diffraction line list (CuKα), based on a cell relaxed with PBE.
Neutral-atom scattering factors, no anomalous dispersion.

Principal peaks in the range 2θ = 15–90°, sorted by position:
2θ/deg, I (rel.)
16.1, 43
16.5, 100
21.4, 38
21.6, 32
23.6, 64
25.0, 54
28.5, 28
29.6, 26
30.3, 21
30.7, 29
33.3, 21
37.4, 25

Crystal structure
Cell: 9.138 10.779 12.998 Å, 90.00 124.47 90.00°
Space group P2_1/c (No. 14)
One atom of each set of equivalent atoms:
K1 0.013 0.075 0.188 x4
K2 0.420 0.683 0.202 x4
Cu1 0.000 0.000 0.500 x2
I1 0.076 0.241 0.978 x4
O1 0.044 0.607 0.125 x4
O2 0.109 0.191 0.859 x4
O3 0.125 0.670 0.554 x4
O4 0.139 0.129 0.600 x4
O5 0.242 0.145 0.107 x4
O6 0.401 0.718 0.964 x4
O7 0.433 0.061 0.847 x4
O8 0.449 0.537 0.541 x4
O9 0.458 0.504 0.025 x4
O10 0.486 0.704 0.916 x4

***

[6]
K2CuI2O: theoretical powder diffraction line list (CuKα), based on a cell relaxed with PBE.
Neutral-atom scattering factors, no anomalous dispersion.

Principal peaks in the range 2θ = 15–90°, sorted by position:
2θ/deg, I (rel.)
16.6, 25
23.6, 88
26.8, 92
27.2, 26
33.6, 100
36.0, 57
36.3, 46
43.4, 94
48.2, 34
56.0, 43
66.1, 25
86.6, 24

Crystal structure
Cell: 5.339 5.339 6.660 Å, 90.00 90.00 90.00°
Space group P4/mmm (No. 123)
One atom of each set of equivalent atoms:
K1 0.000 0.500 0.000 x2
Cu1 0.000 0.000 0.500 x1
I1 0.000 0.500 0.500 x2
O1 0.000 0.000 0.000 x1